# 1
Calculated powder X-ray diffraction pattern
Compound: Ac6SiS12
Radiation: copper Kα
Structure: a structure optimized by DFT (GGA-PBE)

Atomic structure:
```
19
Lattice="6.274 3.622 3.990 -6.274 3.622 3.990 0.000 -7.245 3.990" Properties=species:S:1:pos:R:3 pbc="T T T"
Ac -3.245 -2.975 6.160
Ac -4.199 1.323 5.811
Ac 0.954 -4.298 5.811
Ac -0.954 4.298 6.160
Ac 4.199 -1.323 6.160
Ac 3.245 2.975 5.811
Si 0.000 0.000 5.985
S -1.702 -5.259 5.129
S -5.405 -1.156 6.841
S -1.944 -0.524 4.717
S -3.703 4.103 5.129
S 1.425 -1.421 4.717
S -0.518 -1.945 7.253
S 0.518 1.945 4.717
S -1.425 1.421 7.253
S 3.703 -4.103 6.841
S 1.944 0.524 7.253
S 5.405 1.156 5.129
S 1.702 5.259 6.841
```

Largest 10 diffraction maxima, by angle, 10 to 90 degrees two-theta:
d = 6.274 Å, 14.12 deg, I 22; d = 3.990 Å, 22.28 deg, I 35; d = 3.885 Å, 22.89 deg, I 100; d = 3.387 Å, 26.32 deg, I 36; d = 3.367 Å, 26.47 deg, I 14; d = 2.923 Å, 30.59 deg, I 17; d = 2.419 Å, 37.17 deg, I 39; d = 2.371 Å, 37.94 deg, I 34; d = 2.068 Å, 43.77 deg, I 17; d = 2.039 Å, 44.44 deg, I 28

# 2
Calculated powder X-ray diffraction pattern
Compound: Ac2SiS5
Radiation: copper Kα
Structure: a structure optimized by DFT (GGA-PBE)

Atomic structure:
```
32
Lattice="11.700 0.000 0.000 0.000 9.066 0.000 -2.993 0.000 8.256" Properties=species:S:1:pos:R:3 pbc="T T T"
Ac -0.364 1.054 1.975
Ac -1.860 3.479 6.103
Ac 4.366 1.496 0.835
Ac 2.869 3.037 4.964
Ac 5.838 6.029 3.293
Ac 4.342 7.570 7.421
Ac 10.568 5.587 2.153
Ac 9.071 8.012 6.282
Si 3.319 5.308 0.388
Si 1.823 8.291 4.516
Si 6.884 0.775 3.740
Si 5.388 3.758 7.868
S -1.714 5.762 8.218
S -0.218 7.837 4.090
S -1.437 1.132 7.910
S 0.060 3.401 3.782
S 2.437 0.627 3.014
S 0.940 3.906 7.142
S 2.039 0.386 6.291
S 3.535 4.147 2.163
S 3.024 6.589 4.762
S 4.520 7.010 0.633
S 4.187 2.056 7.623
S 5.684 2.477 3.495
S 5.172 4.919 6.094
S 6.669 8.680 1.965
S 7.767 5.160 1.115
S 6.271 8.439 5.243
S 8.648 5.665 4.475
S 10.144 7.935 0.347
S 8.925 1.229 4.167
S 10.422 3.304 0.039
```

Largest 10 diffraction maxima, by angle, 10 to 90 degrees two-theta:
d = 6.996 Å, 12.65 deg, I 53; d = 5.500 Å, 16.12 deg, I 54; d = 4.025 Å, 22.08 deg, I 78; d = 3.974 Å, 22.37 deg, I 100; d = 3.671 Å, 24.25 deg, I 54; d = 3.557 Å, 25.03 deg, I 60; d = 3.500 Å, 25.45 deg, I 94; d = 3.399 Å, 26.22 deg, I 33; d = 2.498 Å, 35.95 deg, I 52; d = 2.451 Å, 36.66 deg, I 45

# 3
Calculated powder X-ray diffraction pattern
Compound: Ac6Si3TeS2
Radiation: copper Kα
Structure: a structure optimized by DFT (GGA-PBE)

Atomic structure:
```
12
Lattice="9.906 -2.273 0.000 9.906 2.273 0.000 -2.072 0.000 8.891" Properties=species:S:1:pos:R:3 pbc="T T T"
Ac -0.542 0.000 2.385
Ac 4.563 0.000 8.145
Ac 5.759 0.000 3.681
Ac 11.982 0.000 5.210
Ac 13.177 0.000 0.746
Ac 18.283 0.000 6.505
Si 1.546 0.000 7.386
Si 8.870 0.000 4.445
Si 16.194 0.000 1.505
Te 9.906 0.000 0.000
S 2.643 0.000 2.988
S 15.098 0.000 5.903
```

Largest 10 diffraction maxima, by angle, 10 to 90 degrees two-theta:
d = 3.722 Å, 23.91 deg, I 39; d = 3.712 Å, 23.97 deg, I 40; d = 3.219 Å, 27.71 deg, I 100; d = 2.280 Å, 39.53 deg, I 38; d = 2.273 Å, 39.65 deg, I 38; d = 1.944 Å, 46.73 deg, I 17; d = 1.939 Å, 46.84 deg, I 24; d = 1.857 Å, 49.06 deg, I 21; d = 1.610 Å, 57.23 deg, I 13; d = 1.439 Å, 64.79 deg, I 18

# 4
Calculated powder X-ray diffraction pattern
Compound: Ac2SmS3
Radiation: copper Kα
Structure: a structure optimized by DFT (GGA-PBE)

Atomic structure:
```
24
Lattice="0.000 5.958 12.506 4.241 0.000 12.506 4.241 5.958 0.000" Properties=species:S:1:pos:R:3 pbc="T T T"
Ac 1.060 1.490 1.079
Ac 3.181 4.469 3.095
Ac 1.060 1.490 5.174
Ac 5.301 7.448 9.348
Ac 3.181 4.469 15.665
Ac 7.422 10.427 19.838
Ac 5.301 7.448 21.918
Ac 7.422 10.427 23.934
Sm 3.181 4.469 7.295
Sm 3.181 4.469 11.464
Sm 5.301 7.448 13.548
Sm 5.301 7.448 17.717
S 3.248 1.576 7.228
S 5.158 4.469 9.380
S 3.114 1.576 11.531
S 5.235 4.555 13.481
S 7.279 7.448 15.633
S 5.368 4.555 17.785
S 3.114 7.362 7.228
S 1.203 4.469 9.380
S 3.248 7.362 11.531
S 5.368 10.341 13.481
S 3.324 7.448 15.633
S 5.235 10.341 17.785
```

Largest 10 diffraction maxima, by angle, 10 to 90 degrees two-theta:
d = 3.455 Å, 25.78 deg, I 48; d = 3.416 Å, 26.09 deg, I 47; d = 2.975 Å, 30.04 deg, I 100; d = 2.121 Å, 42.64 deg, I 13; d = 2.104 Å, 42.98 deg, I 50; d = 2.084 Å, 43.41 deg, I 12; d = 1.801 Å, 50.70 deg, I 25; d = 1.785 Å, 51.18 deg, I 16; d = 1.728 Å, 53.00 deg, I 14; d = 1.708 Å, 53.67 deg, I 13

# 5
Calculated powder X-ray diffraction pattern
Compound: AcSm4S5
Radiation: copper Kα
Structure: a structure optimized by DFT (GGA-PBE)

Atomic structure:
```
10
Lattice="-2.028 2.887 10.203 2.028 -2.887 10.203 2.028 2.887 -10.203" Properties=species:S:1:pos:R:3 pbc="T T T"
Ac 0.000 0.000 0.000
Sm 0.000 0.000 4.148
Sm 0.000 0.000 8.136
Sm 0.000 0.000 12.270
Sm 0.000 0.000 16.257
S 2.028 0.000 2.190
S 2.028 0.000 6.138
S 0.000 2.887 0.000
S 0.000 2.887 4.064
S 0.000 2.887 8.012
```

Largest 10 diffraction maxima, by angle, 10 to 90 degrees two-theta:
d = 3.333 Å, 26.75 deg, I 63; d = 3.319 Å, 26.86 deg, I 62; d = 2.887 Å, 30.97 deg, I 51; d = 2.877 Å, 31.09 deg, I 100; d = 2.038 Å, 44.44 deg, I 92; d = 1.740 Å, 52.60 deg, I 21; d = 1.738 Å, 52.65 deg, I 21; d = 1.733 Å, 52.84 deg, I 21; d = 1.660 Å, 55.36 deg, I 19; d = 1.290 Å, 73.39 deg, I 24

# 6
Calculated powder X-ray diffraction pattern
Compound: Sr3Ac3SmS8
Radiation: copper Kα
Structure: a structure optimized by DFT (GGA-PBE)

Atomic structure:
```
15
Lattice="4.271 2.466 6.986 -4.271 2.466 6.986 0.000 -4.932 6.986" Properties=species:S:1:pos:R:3 pbc="T T T"
Sr -2.135 -1.233 6.986
Sr -2.135 1.233 13.971
Sr 0.000 2.466 6.986
Ac -4.271 0.000 10.478
Ac -2.135 1.233 3.493
Ac 2.135 1.233 3.493
Sm 0.000 0.000 10.478
S 0.000 0.000 5.262
S -2.017 -1.164 12.114
S 0.000 -2.329 8.843
S -2.017 1.164 8.843
S 2.017 -1.164 12.114
S 0.000 2.329 12.114
S 2.017 1.164 8.843
S 0.000 0.000 15.695
```

Largest 10 diffraction maxima, by angle, 10 to 90 degrees two-theta:
d = 6.985 Å, 12.67 deg, I 42; d = 3.642 Å, 24.44 deg, I 25; d = 3.489 Å, 25.53 deg, I 68; d = 3.022 Å, 29.56 deg, I 100; d = 2.137 Å, 42.30 deg, I 74; d = 1.822 Å, 50.06 deg, I 37; d = 1.745 Å, 52.45 deg, I 26; d = 1.511 Å, 61.36 deg, I 12; d = 1.351 Å, 69.57 deg, I 33; d = 1.234 Å, 77.34 deg, I 18

# 7
Calculated powder X-ray diffraction pattern
Compound: Ac2SmUS8
Radiation: copper Kα
Structure: a structure optimized by DFT (GGA-PBE)

Atomic structure:
```
12
Lattice="4.721 0.000 0.000 0.000 6.988 0.000 0.000 0.000 9.348" Properties=species:S:1:pos:R:3 pbc="T T T"
Ac 0.000 0.000 2.321
Ac 0.000 0.000 7.027
Sm 2.361 3.494 0.000
U 2.361 3.494 4.674
S 0.000 1.823 0.000
S 0.000 2.016 4.674
S 0.000 4.972 4.674
S 0.000 5.166 0.000
S 2.361 1.898 2.546
S 2.361 1.898 6.802
S 2.361 5.090 2.546
S 2.361 5.090 6.802
```

Largest 10 diffraction maxima, by angle, 10 to 90 degrees two-theta:
d = 3.912 Å, 22.73 deg, I 100; d = 3.885 Å, 22.89 deg, I 100; d = 3.494 Å, 25.49 deg, I 17; d = 3.321 Å, 26.84 deg, I 30; d = 2.407 Å, 37.35 deg, I 96; d = 2.361 Å, 38.12 deg, I 23; d = 2.337 Å, 38.52 deg, I 22; d = 2.087 Å, 43.36 deg, I 39; d = 2.017 Å, 44.93 deg, I 35; d = 2.006 Å, 45.20 deg, I 33

# 8
Calculated powder X-ray diffraction pattern
Compound: AcSm2US8
Radiation: copper Kα
Structure: a structure optimized by DFT (GGA-PBE)

Atomic structure:
```
12
Lattice="6.641 0.000 0.000 0.000 4.812 0.000 -0.008 0.000 9.265" Properties=species:S:1:pos:R:3 pbc="T T T"
Ac 0.000 0.000 0.000
Sm 3.319 2.406 2.379
Sm 3.314 2.406 6.886
U -0.004 0.000 4.633
S 1.467 2.406 4.631
S 1.668 0.000 2.594
S 1.663 0.000 6.674
S 1.758 2.406 9.265
S 4.876 2.406 0.000
S 4.970 0.000 2.591
S 4.965 0.000 6.672
S 5.167 2.406 4.635
```

Largest 10 diffraction maxima, by angle, 10 to 90 degrees two-theta:
d = 3.897 Å, 22.82 deg, I 100; d = 3.799 Å, 23.41 deg, I 97; d = 3.338 Å, 26.71 deg, I 28; d = 2.406 Å, 37.37 deg, I 26; d = 2.354 Å, 38.23 deg, I 96; d = 2.316 Å, 38.88 deg, I 22; d = 2.033 Å, 44.57 deg, I 36; d = 2.011 Å, 45.08 deg, I 18; d = 1.991 Å, 45.56 deg, I 33; d = 1.379 Å, 67.98 deg, I 18

# 9
Calculated powder X-ray diffraction pattern
Compound: Ac2Sn2S7
Radiation: copper Kα
Structure: a structure optimized by DFT (GGA-PBE)

Atomic structure:
```
11
Lattice="4.825 -5.818 0.000 4.825 5.818 0.000 -1.158 0.000 6.302" Properties=species:S:1:pos:R:3 pbc="T T T"
Ac 4.825 3.386 0.000
Ac 4.825 -3.386 0.000
Sn 1.849 0.000 3.647
Sn 6.642 0.000 2.655
S 1.455 2.043 4.853
S 0.588 0.000 1.599
S 1.455 -2.043 4.853
S 4.246 0.000 3.151
S 7.036 2.043 1.449
S 7.903 0.000 4.703
S 7.036 -2.043 1.449
```

Largest 10 diffraction maxima, by angle, 10 to 90 degrees two-theta:
d = 4.485 Å, 19.79 deg, I 25; d = 4.275 Å, 20.78 deg, I 100; d = 4.170 Å, 21.31 deg, I 50; d = 3.677 Å, 24.20 deg, I 38; d = 3.499 Å, 25.45 deg, I 21; d = 2.578 Å, 34.80 deg, I 26; d = 2.292 Å, 39.31 deg, I 19; d = 2.099 Å, 43.09 deg, I 18; d = 2.083 Å, 43.45 deg, I 17; d = 1.975 Å, 45.96 deg, I 17

# 10
Calculated powder X-ray diffraction pattern
Compound: SrAc3S6
Radiation: copper Kα
Structure: a structure optimized by DFT (GGA-PBE)

Atomic structure:
```
10
Lattice="6.855 -3.832 0.000 6.855 3.832 0.000 -3.886 0.000 6.354" Properties=species:S:1:pos:R:3 pbc="T T T"
Sr 0.000 0.000 0.000
Ac 0.255 0.000 5.231
Ac 4.912 0.000 3.177
Ac 9.568 0.000 1.123
S 4.942 1.909 0.985
S 1.827 0.000 2.731
S 4.881 1.909 5.370
S 4.942 -1.909 0.985
S 7.996 0.000 3.623
S 4.881 -1.909 5.370
```

Largest 10 diffraction maxima, by angle, 10 to 90 degrees two-theta:
d = 6.210 Å, 14.26 deg, I 34; d = 3.980 Å, 22.34 deg, I 100; d = 3.908 Å, 22.75 deg, I 97; d = 3.832 Å, 23.21 deg, I 46; d = 3.239 Å, 27.54 deg, I 38; d = 2.924 Å, 30.57 deg, I 26; d = 2.670 Å, 33.56 deg, I 37; d = 2.325 Å, 38.73 deg, I 56; d = 2.239 Å, 40.27 deg, I 24; d = 2.227 Å, 40.51 deg, I 22

# 11
Calculated powder X-ray diffraction pattern
Compound: SrAc4S7
Radiation: copper Kα
Structure: a structure optimized by DFT (GGA-PBE)

Atomic structure:
```
12
Lattice="7.090 -2.111 0.000 7.090 2.111 0.000 -3.373 0.000 11.907" Properties=species:S:1:pos:R:3 pbc="T T T"
Sr 0.000 0.000 0.000
Ac 0.325 0.000 4.993
Ac 0.350 0.000 10.096
Ac 3.980 0.000 7.467
Ac 10.806 0.000 2.750
S -1.088 0.000 7.540
S 1.672 0.000 2.421
S 5.071 0.000 0.855
S 5.318 0.000 4.483
S 5.452 0.000 10.650
S 9.477 0.000 5.629
S 9.425 0.000 9.201
```

Largest 10 diffraction maxima, by angle, 10 to 90 degrees two-theta:
d = 3.980 Å, 22.34 deg, I 82; d = 3.925 Å, 22.66 deg, I 100; d = 3.730 Å, 23.85 deg, I 29; d = 3.545 Å, 25.12 deg, I 41; d = 3.472 Å, 25.66 deg, I 32; d = 3.094 Å, 28.86 deg, I 37; d = 2.981 Å, 29.98 deg, I 44; d = 2.868 Å, 31.18 deg, I 37; d = 2.380 Å, 37.80 deg, I 30; d = 2.308 Å, 39.03 deg, I 28

# 12
Calculated powder X-ray diffraction pattern
Compound: Sr2Ac2S5
Radiation: copper Kα
Structure: a structure optimized by DFT (GGA-PBE)

Atomic structure:
```
18
Lattice="7.366 -4.057 0.000 7.366 4.057 0.000 0.000 0.000 8.182" Properties=species:S:1:pos:R:3 pbc="T T T"
Sr 2.962 0.000 0.000
Sr 4.404 0.000 4.091
Sr 10.329 0.000 4.091
Sr 11.771 0.000 0.000
Ac 7.366 2.766 5.403
Ac 7.366 1.292 1.312
Ac 7.366 -1.292 6.870
Ac 7.366 -2.766 2.779
S 0.000 0.000 0.000
S 5.387 2.805 2.862
S 5.387 1.253 6.953
S 9.346 2.805 2.862
S 9.346 1.253 6.953
S 7.366 0.000 4.091
S 5.387 -1.253 1.229
S 5.387 -2.805 5.320
S 9.346 -1.253 1.229
S 9.346 -2.805 5.320
```

Largest 10 diffraction maxima, by angle, 10 to 90 degrees two-theta:
d = 7.366 Å, 12.01 deg, I 100; d = 3.576 Å, 24.90 deg, I 35; d = 3.549 Å, 25.09 deg, I 86; d = 3.260 Å, 27.36 deg, I 78; d = 2.931 Å, 30.50 deg, I 86; d = 2.587 Å, 34.67 deg, I 65; d = 2.546 Å, 35.25 deg, I 45; d = 2.530 Å, 35.48 deg, I 44; d = 2.293 Å, 39.28 deg, I 36; d = 1.904 Å, 47.78 deg, I 38